Starting from a GGA-PBE-relaxed structure, the X-ray diffraction stick pattern of HgICl2 was simulated for Cu Kα, 1.54184 Å.
Intensities are scaled so that the largest is 100.

The 10 most intense peaks (2θ from 15° to 90°), low angle first:
- 2θ 15.49, I = 100.0
- 2θ 22.67, I = 30.4
- 2θ 24.29, I = 27.2
- 2θ 24.65, I = 47.0
- 2θ 26.53, I = 93.5
- 2θ 28.06, I = 40.6
- 2θ 31.70, I = 26.3
- 2θ 32.63, I = 37.8
- 2θ 34.42, I = 39.8
- 2θ 46.26, I = 24.7

Cell and atoms:
a = 6.1939 Å, b = 7.6604 Å, c = 7.9069 Å
α = 68.52°, β = 73.13°, γ = 70.14°
Space group P-1 (No. 2)
Symmetry-distinct sites (fractional):
Hg 0.0000 0.0000 0.0000 [1 per cell]
Hg 0.0000 0.0000 0.5000 [1 per cell]
I 0.2019 0.3683 0.0506 [2 per cell]
Cl 0.2144 0.7590 0.3594 [2 per cell]
Cl 0.3450 0.9066 0.7921 [2 per cell]